Structure and theoretical XRD peak list of NaSr2AgO4 (the PBE geometry in Alexandria; copper Kα).
Intensities are scaled so that the largest is 100.

Most intense lines, 2θ from 10° to 90°, in order of rising 2θ:
| d_spacing | two_theta | Rel. int. | hkl |
| --- | --- | --- | --- |
| 4.541 | 19.55 | 20 | 1 0 1 |
| 4.357 | 20.38 | 14 | 1 1 0 |
| 3.360 | 26.53 | 12 | 0 0 2 |
| 3.081 | 28.98 | 48 | 2 0 0 |
| 2.661 | 33.69 | 100 | 1 1 2 |
| 2.178 | 41.45 | 38 | 2 2 0 |
| 1.686 | 54.44 | 50 | 3 1 2 |
| 1.475 | 63.03 | 11 | 2 0 4 |
| 1.330 | 70.83 | 14 | 2 2 4 |
| 1.137 | 85.37 | 13 | 1 5 2 |

Atomic structure:
```
data_NaSr2AgO4
_symmetry_space_group_name_H-M 'I -4'
_symmetry_Int_Tables_number 82
_cell_length_a 6.1617
_cell_length_b 6.1617
_cell_length_c 6.7195
_cell_angle_alpha 90.00
_cell_angle_beta 90.00
_cell_angle_gamma 90.00
loop_
_symmetry_equiv_pos_as_xyz
'x,y,z'
'y,-x,-z'
'-x,-y,z'
'-y,x,-z'
'x+1/2,y+1/2,z+1/2'
'y+1/2,-x+1/2,-z+1/2'
'-x+1/2,-y+1/2,z+1/2'
'-y+1/2,x+1/2,-z+1/2'
loop_
_atom_site_label
_atom_site_fract_x
_atom_site_fract_y
_atom_site_fract_z
_atom_site_occupancy
Na1 0.0000 0.0000 0.0000 1
Sr1 0.0000 0.0000 0.5000 1
Sr2 0.0000 0.5000 0.2500 1
Ag1 0.0000 0.5000 0.7500 1
O1 0.2026 0.2408 0.7613 1
```

Structure and theoretical XRD peak list of RbHgN2 (the PBE geometry in Alexandria; copper Kα).
Intensities are scaled so that the largest is 100.

Most intense lines, 2θ from 10° to 90°, in order of rising 2θ:
| d_spacing | two_theta | Rel. int. | hkl |
| --- | --- | --- | --- |
| 5.164 | 17.17 | 52 | 0 4 0 |
| 3.442 | 25.88 | 61 | 0 6 0 |
| 3.337 | 26.71 | 31 | 1 1 -1 |
| 3.294 | 27.07 | 86 | 1 1 1 |
| 3.035 | 29.43 | 100 | 1 3 -1 |
| 2.596 | 34.56 | 45 | 1 5 1 |
| 2.322 | 38.78 | 36 | 0 2 2 |
| 2.307 | 39.04 | 30 | 2 2 0 |
| 2.210 | 40.82 | 27 | 1 7 1 |
| 2.152 | 41.99 | 27 | 2 4 0 |

Atomic structure:
```
data_RbHgN2
_symmetry_space_group_name_H-M 'C 1 2/c 1'
_symmetry_Int_Tables_number 15
_cell_length_a 4.7346
_cell_length_b 20.6548
_cell_length_c 4.7666
_cell_angle_alpha 90.00
_cell_angle_beta 90.76
_cell_angle_gamma 90.00
loop_
_symmetry_equiv_pos_as_xyz
'x,y,z'
'-x,-y,-z'
'-x,y,-z+1/2'
'x,-y,z+1/2'
'x+1/2,y+1/2,z'
'-x+1/2,-y+1/2,-z'
'-x+1/2,y+1/2,-z+1/2'
'x+1/2,-y+1/2,z+1/2'
loop_
_atom_site_label
_atom_site_fract_x
_atom_site_fract_y
_atom_site_fract_z
_atom_site_occupancy
Rb1 0.0000 0.0884 0.2500 1
Hg1 0.2500 0.2500 0.0000 1
N1 0.1221 0.4593 0.2510 1
```

Structure and theoretical XRD peak list of Pr6ErMg2 (the PBE geometry in Alexandria; copper Kα).
Intensities are scaled so that the largest is 100.

Most intense lines, 2θ from 10° to 90°, in order of rising 2θ:
| d_spacing | two_theta | Rel. int. | hkl |
| --- | --- | --- | --- |
| 4.599 | 19.30 | 26 | 1 1 1 |
| 3.087 | 28.93 | 24 | 1 3 0 |
| 2.955 | 30.25 | 61 | 0 0 3 |
| 2.939 | 30.42 | 62 | 2 0 1 |
| 2.915 | 30.67 | 100 | 1 3 1 |
| 2.549 | 35.21 | 43 | 2 0 2 |
| 2.533 | 35.44 | 70 | 1 3 2 |
| 1.800 | 50.71 | 24 | 1 3 4 |
| 1.757 | 52.04 | 22 | 3 3 1 |
| 1.368 | 68.60 | 23 | 2 6 3 |

Atomic structure:
```
data_Pr6ErMg2
_symmetry_space_group_name_H-M 'C 2 2 2'
_symmetry_Int_Tables_number 21
_cell_length_a 6.2300
_cell_length_b 10.6608
_cell_length_c 8.8649
_cell_angle_alpha 90.00
_cell_angle_beta 90.00
_cell_angle_gamma 90.00
loop_
_symmetry_equiv_pos_as_xyz
'x,y,z'
'-x,-y,z'
'x,-y,-z'
'-x,y,-z'
'x+1/2,y+1/2,z'
'-x+1/2,-y+1/2,z'
'x+1/2,-y+1/2,-z'
'-x+1/2,y+1/2,-z'
loop_
_atom_site_label
_atom_site_fract_x
_atom_site_fract_y
_atom_site_fract_z
_atom_site_occupancy
Pr1 0.0000 0.1745 0.0000 1
Pr2 0.2431 0.4155 0.6640 1
Er1 0.0000 0.5000 0.0000 1
Mg1 0.2500 0.2500 0.3292 1
```